Record 1
# BaLiRe2
Calculated X-ray diffraction stick pattern, Cu Kα, 1.54184 Å. Input: a GGA-PBE-relaxed structure.
Kinematic intensities with the Lorentz-polarization factor, no thermal factor.

Cell and atoms:
```
BaLiRe2
1.0
4.0753 -1.6286 0.0000
4.0753 1.6286 0.0000
-1.0115 0.0000 6.9161
Ba Li Re
1 1 2
Cartesian
0.0000 0.0000 0.0000
1.2841 0.0000 4.4697
3.6128 0.0000 3.1778
6.0025 0.0000 2.3703
```

Peak list (10 most intense, 2θ = 15–90°, by intensity)
d_spacing  intensity
2.714  100
2.050  54
3.458  51
2.836  49
2.016  29
1.786  28
3.020  20
2.455  18
2.824  17
2.216  17

=====

Record 2
# BaLi8Rh4
Calculated X-ray diffraction stick pattern, Cu Kα, 1.54184 Å. Input: a GGA-PBE-relaxed structure.
Kinematic intensities with the Lorentz-polarization factor, no thermal factor.

Cell and atoms:
```
BaLi8Rh4
1.0
-4.6650 4.6650 2.5289
4.6650 -4.6650 2.5289
4.6650 4.6650 -2.5289
Ba Li Rh
1 8 4
Cartesian
0.0000 0.0000 0.0000
3.2205 0.0000 0.0000
6.1094 0.0000 0.0000
4.6650 2.3994 0.0000
0.0000 3.2205 0.0000
2.3994 4.6650 0.0000
2.2656 0.0000 2.5289
0.0000 6.1094 0.0000
0.0000 2.2656 2.5289
2.3325 2.3325 -1.2644
2.3325 -2.3325 1.2644
-2.3325 2.3325 1.2644
2.3325 2.3325 1.2644
```

Peak list (10 most intense, 2θ = 15–90°, by intensity)
d_spacing  intensity
3.299  100
2.223  75
4.665  71
1.609  51
2.332  46
3.219  23
4.446  23
1.475  19
2.086  18
2.007  18

=====

Record 3
# Ba2Li5Rh4
Calculated X-ray diffraction stick pattern, Cu Kα, 1.54184 Å. Input: a GGA-PBE-relaxed structure.
Kinematic intensities with the Lorentz-polarization factor, no thermal factor.

Cell and atoms:
```
Ba2Li5Rh4
1.0
6.3424 -2.7344 0.0000
6.3424 2.7344 0.0000
-5.0625 0.0000 6.7621
Ba Li Rh
2 5 4
Cartesian
1.3873 0.0000 2.0218
6.2349 0.0000 4.7403
4.5016 1.3757 1.7699
3.1206 1.3757 4.9922
6.3424 0.0000 0.0000
4.5016 -1.3757 1.7699
3.1206 -1.3757 4.9922
-1.3705 0.0000 3.9990
-1.5252 0.0000 6.5733
9.1475 0.0000 0.1888
8.9927 0.0000 2.7631
```

Peak list (10 most intense, 2θ = 15–90°, by intensity)
d_spacing  intensity
5.077  100
3.109  53
2.301  52
2.734  48
2.764  39
3.482  34
2.407  34
2.265  31
1.944  30
4.815  21

=====

Record 4
# Ba6LiRh2
Calculated X-ray diffraction stick pattern, Cu Kα, 1.54184 Å. Input: a GGA-PBE-relaxed structure.
Kinematic intensities with the Lorentz-polarization factor, no thermal factor.

Cell and atoms:
```
Ba6LiRh2
1.0
4.0560 2.3418 7.4470
-4.0560 2.3418 7.4470
0.0000 -4.6835 7.4470
Ba Li Rh
6 1 2
Cartesian
-1.4024 -2.1495 7.4470
-2.3275 -0.2896 11.2465
-1.1603 2.2892 7.4470
1.4145 -1.8709 11.2465
2.5627 -0.1397 7.4470
0.9130 2.1604 11.2465
0.0000 0.0000 2.2808
0.0000 0.0000 9.2077
0.0000 0.0000 13.2547
```

Peak list (10 most intense, 2θ = 15–90°, by intensity)
d_spacing  intensity
3.562  100
2.743  42
2.342  28
2.117  24
3.724  16
1.957  12
1.457  11
2.761  10
1.941  9
1.781  8

=====

Record 5
# Ba4Li3Rh2
Calculated X-ray diffraction stick pattern, Cu Kα, 1.54184 Å. Input: a GGA-PBE-relaxed structure.
Kinematic intensities with the Lorentz-polarization factor, no thermal factor.

Cell and atoms:
```
Ba4Li3Rh2
1.0
8.6102 -2.2628 0.0000
8.6102 2.2628 0.0000
-2.4528 0.0000 7.5079
Ba Li Rh
4 3 2
Cartesian
0.2708 0.0000 2.4223
2.5559 0.0000 6.0126
12.2118 0.0000 1.4953
14.4969 0.0000 5.0856
6.3317 0.0000 1.6784
8.6102 0.0000 0.0000
8.4360 0.0000 5.8296
-0.5498 0.0000 7.2621
15.3175 0.0000 0.2458
```

Peak list (10 most intense, 2θ = 15–90°, by intensity)
d_spacing  intensity
4.362  100
3.329  79
2.945  78
2.731  53
1.872  40
3.430  38
2.254  38
2.263  35
2.653  31
4.835  30

=====

Record 6
# Ba14Li6Rh3
Calculated X-ray diffraction stick pattern, Cu Kα, 1.54184 Å. Input: a GGA-PBE-relaxed structure.
Kinematic intensities with the Lorentz-polarization factor, no thermal factor.

Cell and atoms:
```
Ba14Li6Rh3
1.0
12.2112 0.0000 0.0000
-6.1056 10.5752 0.0000
0.0000 0.0000 8.2096
Ba Li Rh
14 6 3
Cartesian
0.0000 0.0000 0.0000
-2.1157 5.8286 5.1028
0.0000 4.5929 1.3436
-2.1280 8.2788 1.3436
2.2525 1.3005 3.5157
3.8358 2.2146 7.5653
2.1157 5.8286 5.1028
0.0000 9.4932 5.1028
2.1280 8.2788 1.3436
6.1056 3.5251 4.0024
8.3754 2.2146 7.5653
6.1056 6.1460 7.5653
9.9587 1.3005 3.5157
6.1056 7.9742 3.5157
0.0000 2.5436 5.9120
-3.9028 9.3034 5.9120
6.1056 1.0117 1.7326
3.9290 4.7817 1.7326
3.9028 9.3034 5.9120
8.2822 4.7817 1.7326
0.0000 0.0000 5.2197
0.0000 7.0501 3.2255
6.1056 3.5251 0.9791
```

Peak list (10 most intense, 2θ = 15–90°, by intensity)
d_spacing  intensity
3.241  100
3.594  82
4.445  38
3.997  38
2.035  36
3.827  30
2.162  28
3.053  22
2.049  22
1.724  20

=====

Record 7
# Ba5Li2Rh
Calculated X-ray diffraction stick pattern, Cu Kα, 1.54184 Å. Input: a GGA-PBE-relaxed structure.
Kinematic intensities with the Lorentz-polarization factor, no thermal factor.

Cell and atoms:
```
Ba5Li2Rh
1.0
10.2928 -3.8320 0.0000
10.2928 3.8320 0.0000
-1.2115 0.0000 9.3220
Ba Li Rh
10 4 2
Cartesian
9.3841 2.9219 6.9915
4.2290 0.6579 2.8472
8.0197 1.0798 0.6215
3.6233 -0.6579 7.5082
11.9600 1.0798 4.0395
7.4140 -1.0798 5.2825
15.7507 0.6579 1.8138
11.3543 -1.0798 8.7005
15.1450 -0.6579 6.4748
9.9899 -2.9219 2.3305
7.5994 2.4988 3.9981
12.3803 2.4988 0.6629
6.9937 -2.4988 8.6591
11.7746 -2.4988 5.3239
5.1464 1.9160 0.0000
4.5406 -1.9160 4.6610
```

Peak list (10 most intense, 2θ = 15–90°, by intensity)
d_spacing  intensity
3.607  100
3.544  76
2.901  68
5.565  50
3.240  49
3.992  38
2.070  36
2.024  34
2.102  31
3.298  31

=====

Record 8
# Ba3Li2TaS6
Calculated X-ray diffraction stick pattern, Cu Kα, 1.54184 Å. Input: a GGA-PBE-relaxed structure.
Kinematic intensities with the Lorentz-polarization factor, no thermal factor.

Cell and atoms:
```
Ba3Li2TaS6
1.0
7.1015 0.0000 0.0000
-3.5508 6.1501 0.0000
0.0000 0.0000 7.7693
Ba Li Ta S
3 2 1 6
Cartesian
0.0000 0.0000 0.0000
0.0000 4.1001 4.8314
3.5508 2.0500 2.9379
0.0000 4.1001 1.4971
3.5508 2.0500 6.2722
0.0000 0.0000 3.8846
0.0000 2.0017 2.4191
-1.8173 5.1493 2.4191
1.7335 1.0008 5.3501
1.8173 5.1493 2.4191
5.3680 1.0008 5.3501
3.5508 4.1484 5.3501
```

Peak list (10 most intense, 2θ = 15–90°, by intensity)
d_spacing  intensity
3.551  100
3.284  72
2.411  71
2.859  45
2.621  44
1.995  37
1.775  31
3.229  25
1.852  24
1.490  24

=====

Record 9
# BaLi3U4S12
Calculated X-ray diffraction stick pattern, Cu Kα, 1.54184 Å. Input: a GGA-PBE-relaxed structure.
Kinematic intensities with the Lorentz-polarization factor, no thermal factor.

Cell and atoms:
```
BaLi3U4S12
1.0
-4.9508 4.9508 4.9508
4.9508 -4.9508 4.9508
4.9508 4.9508 -4.9508
Ba Li U S
1 3 4 12
Cartesian
0.0000 0.0000 0.0000
4.9508 0.0000 0.0000
0.0000 4.9508 0.0000
0.0000 0.0000 4.9508
2.4754 2.4754 -2.4754
2.4754 -2.4754 2.4754
-2.4754 2.4754 2.4754
2.4754 2.4754 2.4754
4.9508 3.2035 -1.9585
2.9924 0.0000 1.7473
6.9093 0.0000 1.7473
1.7473 2.9924 0.0000
3.2035 -1.9585 4.9508
0.0000 1.7473 2.9924
4.9508 3.2035 1.9585
1.7473 6.9093 0.0000
3.2035 1.9585 4.9508
-1.9585 4.9508 3.2035
1.9585 4.9508 3.2035
0.0000 1.7473 6.9093
```

Peak list (10 most intense, 2θ = 15–90°, by intensity)
d_spacing  intensity
3.501  100
4.951  87
2.021  66
2.214  50
2.475  33
1.323  29
1.566  24
1.167  23
1.750  19
1.650  18

=====

Record 10
# BaLi2US4
Calculated X-ray diffraction stick pattern, Cu Kα, 1.54184 Å. Input: a GGA-PBE-relaxed structure.
Kinematic intensities with the Lorentz-polarization factor, no thermal factor.

Cell and atoms:
```
BaLi2US4
1.0
7.4467 -2.7742 0.0000
7.4467 2.7742 0.0000
-2.0494 0.0000 5.1476
Ba Li U S
1 2 1 4
Cartesian
0.0000 0.0000 0.0000
6.4256 0.0000 2.5730
10.6610 0.0000 1.2862
2.1919 0.0000 3.8572
-0.2588 0.0000 2.8774
3.1358 0.0000 1.2526
4.6414 0.0000 4.8417
9.7159 0.0000 3.8930
```

Peak list (10 most intense, 2θ = 15–90°, by intensity)
d_spacing  intensity
5.147  100
2.772  36
2.441  31
3.411  30
2.163  27
3.459  25
2.476  21
3.546  21
1.988  13
1.847  13

=====

Record 11
# BaLiZrS3
Calculated X-ray diffraction stick pattern, Cu Kα, 1.54184 Å. Input: a GGA-PBE-relaxed structure.
Kinematic intensities with the Lorentz-polarization factor, no thermal factor.

Cell and atoms:
```
BaLiZrS3
1.0
5.8796 -4.1095 0.0000
5.8796 4.1095 0.0000
-3.5661 0.0000 6.8032
Ba Li Zr S
2 2 2 6
Cartesian
1.8344 0.0000 1.1639
6.3588 0.0000 5.6393
4.0966 2.7580 3.4016
4.0966 -2.7580 3.4016
2.3510 0.0000 5.2853
5.8422 0.0000 1.5179
4.4408 1.9052 1.1547
0.2965 0.0000 3.9476
3.7524 1.9052 5.6485
4.4408 -1.9052 1.1547
7.8967 0.0000 2.8556
3.7524 -1.9052 5.6485
```

Peak list (10 most intense, 2θ = 15–90°, by intensity)
d_spacing  intensity
3.445  100
4.114  87
3.534  82
3.198  46
2.636  45
2.395  40
3.402  35
3.306  33
5.556  32
3.226  29

=====

Record 12
# BaLi4Sb4
Calculated X-ray diffraction stick pattern, Cu Kα, 1.54184 Å. Input: a GGA-PBE-relaxed structure.
Kinematic intensities with the Lorentz-polarization factor, no thermal factor.

Cell and atoms:
```
BaLi4Sb4
1.0
6.9693 0.0000 0.0000
0.0000 6.9693 0.0000
0.0000 0.0000 9.5237
Ba Li Sb
2 8 8
Cartesian
1.7423 5.2270 2.3809
5.2270 1.7423 7.1428
0.1635 1.7423 1.4475
1.7423 0.1635 6.2094
1.7423 3.3211 6.2094
3.3211 1.7423 1.4475
3.6482 5.2270 8.0762
5.2270 3.6482 3.3143
5.2270 6.8058 3.3143
6.8058 5.2270 8.0762
0.2530 1.7423 4.2680
1.7423 0.2530 9.0299
1.7423 3.2317 9.0299
3.2317 1.7423 4.2680
3.7376 5.2270 5.2557
5.2270 3.7376 0.4938
5.2270 6.7163 0.4938
6.7163 5.2270 5.2557
```

Peak list (10 most intense, 2θ = 15–90°, by intensity)
d_spacing  intensity
3.272  100
2.962  45
2.188  40
2.889  34
3.424  30
3.932  25
1.875  24
1.625  22
4.762  21
2.253  17